No. 1
For KTeO5, a crystal structure in the Materials Project, relaxed with GGA-PBE gives the theoretical PXRD pattern in this record (Cu Kα).
Neutral-atom scattering factors, no anomalous dispersion.

Most intense lines, 2θ = 10–80°, by intensity:
| 2θ/deg | I_rel |
| --- | --- |
| 14.6 | 100 |
| 20.0 | 99 |
| 26.9 | 91 |
| 28.9 | 53 |
| 22.5 | 47 |
| 42.4 | 38 |
| 17.9 | 36 |
| 29.4 | 36 |
| 26.0 | 34 |
| 36.3 | 23 |
| 40.7 | 22 |
| 45.9 | 21 |

Atomic structure:
a b c (Å): 5.125 3.953 6.283
angles (deg): 90.00 104.95 90.00
Sites, in units of the cell vectors:
K1 0.000 0.000 0.000
Te1 0.500 0.500 0.500
O1 0.107 0.500 0.592
O2 0.345 0.500 0.204
O3 0.500 0.000 0.500
O4 0.655 0.500 0.796
O5 0.893 0.500 0.408

---

No. 2
For Ti2ZnO4, a crystal structure in the Materials Project, relaxed with GGA-PBE gives the theoretical PXRD pattern in this record (Cu Kα).
Neutral-atom scattering factors, no anomalous dispersion.

Most intense lines, 2θ = 10–80°, by intensity:
| 2θ/deg | I_rel |
| --- | --- |
| 32.4 | 100 |
| 42.8 | 50 |
| 45.7 | 46 |
| 56.0 | 32 |
| 33.2 | 29 |
| 36.7 | 25 |
| 64.4 | 21 |
| 37.4 | 19 |
| 60.5 | 18 |
| 73.3 | 15 |
| 54.3 | 13 |
| 48.5 | 13 |

Atomic structure:
a b c (Å): 2.923 9.609 10.139
angles (deg): 90.00 90.00 90.00
Sites, in units of the cell vectors:
Ti1 0.240 0.124 0.070
Ti2 0.240 0.124 0.430
Ti3 0.240 0.376 0.570
Ti4 0.240 0.376 0.930
Ti5 0.760 0.624 0.070
Ti6 0.760 0.624 0.430
Ti7 0.760 0.876 0.570
Ti8 0.760 0.876 0.930
Zn1 0.279 0.630 0.750
Zn2 0.279 0.870 0.250
Zn3 0.721 0.130 0.750
Zn4 0.721 0.370 0.250
O1 0.223 0.215 0.250
O2 0.223 0.285 0.750
O3 0.256 0.024 0.614
O4 0.256 0.024 0.886
O5 0.256 0.476 0.114
O6 0.256 0.476 0.386
O7 0.259 0.750 0.000
O8 0.259 0.750 0.500
O9 0.741 0.250 0.000
O10 0.741 0.250 0.500
O11 0.744 0.524 0.614
O12 0.744 0.524 0.886
O13 0.744 0.976 0.114
O14 0.744 0.976 0.386
O15 0.777 0.715 0.250
O16 0.777 0.785 0.750

---

No. 3
For MgSbAsO5, a crystal structure in the Materials Project, relaxed with GGA-PBE gives the theoretical PXRD pattern in this record (Cu Kα).
Neutral-atom scattering factors, no anomalous dispersion.

Most intense lines, 2θ = 10–80°, by intensity:
| 2θ/deg | I_rel |
| --- | --- |
| 29.3 | 100 |
| 15.8 | 52 |
| 24.4 | 31 |
| 23.6 | 31 |
| 32.8 | 28 |
| 26.5 | 28 |
| 31.9 | 25 |
| 34.2 | 23 |
| 40.6 | 20 |
| 26.6 | 18 |
| 50.2 | 17 |
| 35.1 | 14 |

Atomic structure:
a b c (Å): 7.267 7.291 8.832
angles (deg): 90.00 90.00 90.00
Sites, in units of the cell vectors:
Mg1 0.019 0.121 0.306
Mg2 0.481 0.879 0.806
Mg3 0.519 0.379 0.694
Mg4 0.981 0.621 0.194
Sb1 0.249 0.271 0.962
Sb2 0.251 0.729 0.462
Sb3 0.749 0.229 0.038
Sb4 0.751 0.771 0.538
As1 0.031 0.853 0.857
As2 0.469 0.147 0.357
As3 0.531 0.647 0.143
As4 0.969 0.353 0.643
O1 0.019 0.675 0.978
O2 0.050 0.841 0.339
O3 0.058 0.055 0.965
O4 0.176 0.379 0.740
O5 0.213 0.844 0.735
O6 0.287 0.156 0.235
O7 0.324 0.621 0.240
O8 0.442 0.945 0.465
O9 0.450 0.159 0.839
O10 0.481 0.325 0.478
O11 0.519 0.825 0.022
O12 0.550 0.659 0.661
O13 0.558 0.445 0.035
O14 0.676 0.121 0.260
O15 0.713 0.656 0.265
O16 0.787 0.344 0.765
O17 0.824 0.879 0.760
O18 0.942 0.555 0.535
O19 0.950 0.341 0.161
O20 0.981 0.175 0.522

---

No. 4
For ThGe2Ru2, a crystal structure in the Materials Project, relaxed with GGA-PBE gives the theoretical PXRD pattern in this record (Cu Kα).
Neutral-atom scattering factors, no anomalous dispersion.

Most intense lines, 2θ = 10–80°, by intensity:
| 2θ/deg | I_rel |
| --- | --- |
| 34.5 | 100 |
| 34.0 | 71 |
| 41.9 | 57 |
| 55.1 | 37 |
| 22.5 | 24 |
| 71.8 | 24 |
| 63.6 | 22 |
| 60.8 | 19 |
| 50.3 | 18 |
| 67.5 | 15 |
| 29.3 | 12 |
| 56.4 | 11 |

Atomic structure:
a b c (Å): 5.857 5.857 5.857
angles (deg): 136.85 136.85 62.68
Sites, in units of the cell vectors:
Th1 0.000 0.000 0.000
Ge1 0.367 0.367 0.000
Ge2 0.633 0.633 0.000
Ru1 0.250 0.750 0.500
Ru2 0.750 0.250 0.500

---

- Which formula does entry 4 have?
  ThGe2Ru2